(1)
Structure and calculated powder XRD pattern of BaNdCuO3 (the GGA-PBE geometry in Alexandria; Cu Ka).
No peak broadening, texture or thermal motion is included.

Peak list (10 most intense, 2θ from 10° to 90°, by angle)
2θ = 24.58°, d = 3.622 Å, I = 859
2θ = 28.21°, d = 3.163 Å, I = 242
2θ = 30.18°, d = 2.961 Å, I = 1000
2θ = 31.71°, d = 2.822 Å, I = 749
2θ = 31.98°, d = 2.798 Å, I = 373
2θ = 33.65°, d = 2.664 Å, I = 215
2θ = 42.25°, d = 2.139 Å, I = 288
2θ = 45.82°, d = 1.980 Å, I = 373
2θ = 46.49°, d = 1.953 Å, I = 231
2θ = 52.80°, d = 1.734 Å, I = 386

Atomic structure:
```
data_BaNdCuO3
_cell_length_a 3.907
_cell_length_b 13.618
_cell_length_c 8.555
_cell_angle_alpha 90.00
_cell_angle_beta 90.00
_cell_angle_gamma 90.00
_symmetry_space_group_name_H-M 'C m c m'
_symmetry_Int_Tables_number 63
_symmetry_space_group_name_Hall '-C 2c 2'
loop_
_atom_site_label
_atom_site_type_symbol
_atom_site_fract_x
_atom_site_fract_y
_atom_site_fract_z
Ba1 Ba 0.000 0.193 0.250
Nd1 Nd 0.000 0.500 0.000
Cu1 Cu 0.000 0.110 0.750
O1 O 0.000 0.111 0.538
O2 O 0.000 0.427 0.750
```



(2)
Structure and calculated powder XRD pattern of Tm7CdIn4 (the GGA-PBE geometry in Alexandria; Cu Ka).
No peak broadening, texture or thermal motion is included.

Peak list (10 most intense, 2θ from 10° to 90°, by angle)
2θ = 23.14°, d = 3.844 Å, I = 378
2θ = 26.43°, d = 3.372 Å, I = 305
2θ = 32.14°, d = 2.785 Å, I = 898
2θ = 33.76°, d = 2.655 Å, I = 598
2θ = 34.94°, d = 2.568 Å, I = 1000
2θ = 35.88°, d = 2.503 Å, I = 865
2θ = 47.30°, d = 1.922 Å, I = 463
2θ = 54.39°, d = 1.687 Å, I = 243
2θ = 59.11°, d = 1.563 Å, I = 225
2θ = 64.62°, d = 1.442 Å, I = 208

Atomic structure:
```
data_Tm7CdIn4
_cell_length_a 14.326
_cell_length_b 5.571
_cell_length_c 11.034
_cell_angle_alpha 90.00
_cell_angle_beta 127.49
_cell_angle_gamma 90.00
_symmetry_space_group_name_H-M 'C 1 2/m 1'
_symmetry_Int_Tables_number 12
_symmetry_space_group_name_Hall '-C 2y'
loop_
_atom_site_label
_atom_site_type_symbol
_atom_site_fract_x
_atom_site_fract_y
_atom_site_fract_z
Tm1 Tm 0.000 0.000 0.000
Tm2 Tm 0.071 0.500 0.329
Tm3 Tm 0.159 0.000 0.595
Tm4 Tm 0.217 0.500 0.868
Cd1 Cd 0.000 0.500 0.000
In1 In 0.066 0.000 0.777
In2 In 0.203 0.000 0.339
```



(3)
Structure and calculated powder XRD pattern of GaFe3I9 (the GGA-PBE geometry in Alexandria; Cu Ka).
No peak broadening, texture or thermal motion is included.

Peak list (10 most intense, 2θ from 10° to 90°, by angle)
2θ = 15.05°, d = 5.887 Å, I = 576
2θ = 16.08°, d = 5.512 Å, I = 502
2θ = 23.33°, d = 3.812 Å, I = 1000
2θ = 24.68°, d = 3.607 Å, I = 428
2θ = 24.93°, d = 3.571 Å, I = 576
2θ = 25.14°, d = 3.542 Å, I = 801
2θ = 25.33°, d = 3.517 Å, I = 433
2θ = 25.66°, d = 3.472 Å, I = 793
2θ = 28.65°, d = 3.116 Å, I = 451
2θ = 45.73°, d = 1.984 Å, I = 388

Atomic structure:
```
data_GaFe3I9
_cell_length_a 20.679
_cell_length_b 10.396
_cell_length_c 14.918
_cell_angle_alpha 90.00
_cell_angle_beta 131.19
_cell_angle_gamma 90.00
_symmetry_space_group_name_H-M 'C 1 c 1'
_symmetry_Int_Tables_number 9
_symmetry_space_group_name_Hall 'C -2yc'
loop_
_atom_site_label
_atom_site_type_symbol
_atom_site_fract_x
_atom_site_fract_y
_atom_site_fract_z
Ga1 Ga 0.000 0.223 0.000
Fe1 Fe 0.155 0.110 0.837
Fe2 Fe 0.239 0.408 0.716
Fe3 Fe 0.362 0.084 0.677
I1 I 0.034 0.079 0.837
I2 I 0.127 0.338 0.738
I3 I 0.160 0.064 0.222
I4 I 0.175 0.390 0.090
I5 I 0.228 0.237 0.573
I6 I 0.310 0.131 0.049
I7 I 0.385 0.442 0.918
I8 I 0.416 0.015 0.879
I9 I 0.479 0.188 0.691
```



(4)
Structure and calculated powder XRD pattern of Sb3Pt (the GGA-PBE geometry in Alexandria; Cu Ka).
No peak broadening, texture or thermal motion is included.

Peak list (10 most intense, 2θ from 10° to 90°, by angle)
2θ = 11.91°, d = 7.433 Å, I = 266
2θ = 23.94°, d = 3.717 Å, I = 176
2θ = 26.36°, d = 3.381 Å, I = 482
2θ = 34.47°, d = 2.602 Å, I = 585
2θ = 36.25°, d = 2.478 Å, I = 1000
2θ = 43.62°, d = 2.075 Å, I = 297
2θ = 47.92°, d = 1.898 Å, I = 157
2θ = 50.08°, d = 1.822 Å, I = 138
2θ = 60.36°, d = 1.534 Å, I = 230
2θ = 68.55°, d = 1.369 Å, I = 154

Atomic structure:
```
data_Sb3Pt
_cell_length_a 3.643
_cell_length_b 3.797
_cell_length_c 7.433
_cell_angle_alpha 90.00
_cell_angle_beta 90.00
_cell_angle_gamma 90.00
_symmetry_space_group_name_H-M 'P m m 2'
_symmetry_Int_Tables_number 25
_symmetry_space_group_name_Hall 'P 2 -2'
loop_
_atom_site_label
_atom_site_type_symbol
_atom_site_fract_x
_atom_site_fract_y
_atom_site_fract_z
Sb1 Sb 0.000 0.000 0.000
Sb2 Sb 0.000 0.500 0.413
Sb3 Sb 0.500 0.500 0.766
Pt1 Pt 0.500 0.000 0.278
```



(5)
Structure and calculated powder XRD pattern of Nd2Ho2O5 (the GGA-PBE geometry in Alexandria; Cu Ka).
No peak broadening, texture or thermal motion is included.

Peak list (10 most intense, 2θ from 10° to 90°, by angle)
2θ = 28.12°, d = 3.174 Å, I = 1000
2θ = 32.10°, d = 2.789 Å, I = 132
2θ = 32.82°, d = 2.729 Å, I = 315
2θ = 46.56°, d = 1.950 Å, I = 295
2θ = 47.09°, d = 1.930 Å, I = 202
2θ = 54.81°, d = 1.675 Å, I = 101
2θ = 55.75°, d = 1.649 Å, I = 301
2θ = 58.13°, d = 1.587 Å, I = 102
2θ = 75.10°, d = 1.265 Å, I = 80
2θ = 87.18°, d = 1.118 Å, I = 94

Atomic structure:
```
data_Nd2Ho2O5
_cell_length_a 3.859
_cell_length_b 3.859
_cell_length_c 11.155
_cell_angle_alpha 90.00
_cell_angle_beta 90.00
_cell_angle_gamma 90.00
_symmetry_space_group_name_H-M 'P 4/m m m'
_symmetry_Int_Tables_number 123
_symmetry_space_group_name_Hall '-P 4 2'
loop_
_atom_site_label
_atom_site_type_symbol
_atom_site_fract_x
_atom_site_fract_y
_atom_site_fract_z
Nd1 Nd 0.000 0.000 0.223
Ho1 Ho 0.500 0.500 0.000
Ho2 Ho 0.500 0.500 0.500
O1 O 0.000 0.000 0.500
O2 O 0.000 0.500 0.124
```



(6)
Structure and calculated powder XRD pattern of Al4Ru3 (the GGA-PBE geometry in Alexandria; Cu Ka).
No peak broadening, texture or thermal motion is included.

Peak list (10 most intense, 2θ from 10° to 90°, by angle)
2θ = 13.06°, d = 6.777 Å, I = 344
2θ = 24.68°, d = 3.607 Å, I = 276
2θ = 25.84°, d = 3.448 Å, I = 239
2θ = 30.06°, d = 2.973 Å, I = 616
2θ = 32.90°, d = 2.722 Å, I = 161
2θ = 42.73°, d = 2.116 Å, I = 1000
2θ = 43.33°, d = 2.088 Å, I = 956
2θ = 62.48°, d = 1.486 Å, I = 315
2θ = 78.25°, d = 1.222 Å, I = 163
2θ = 78.67°, d = 1.216 Å, I = 320

Atomic structure:
```
data_Al4Ru3
_cell_length_a 4.2320
_cell_length_b 4.2320
_cell_length_c 20.3305
_cell_angle_alpha 90.00
_cell_angle_beta 90.00
_cell_angle_gamma 120.00
_symmetry_space_group_name_H-M 'R -3 m'
_symmetry_Int_Tables_number 166
_symmetry_space_group_name_Hall '-R 3 2"'
loop_
_atom_site_label
_atom_site_type_symbol
_atom_site_fract_x
_atom_site_fract_y
_atom_site_fract_z
Al1 Al 0.0000 0.0000 0.1228
Al2 Al 0.0000 0.0000 0.3736
Ru1 Ru 0.0000 0.0000 0.2513
Ru2 Ru 0.0000 0.0000 0.5000
```



(7)
Structure and calculated powder XRD pattern of TbCrPt6 (the GGA-PBE geometry in Alexandria; Cu Ka).
No peak broadening, texture or thermal motion is included.

Peak list (10 most intense, 2θ from 10° to 90°, by angle)
2θ = 22.10°, d = 4.021 Å, I = 33
2θ = 31.39°, d = 2.849 Å, I = 42
2θ = 38.70°, d = 2.326 Å, I = 1000
2θ = 44.80°, d = 2.023 Å, I = 155
2θ = 45.09°, d = 2.011 Å, I = 333
2θ = 65.44°, d = 1.426 Å, I = 202
2θ = 65.67°, d = 1.422 Å, I = 110
2θ = 78.49°, d = 1.219 Å, I = 108
2θ = 78.91°, d = 1.213 Å, I = 256
2θ = 83.02°, d = 1.163 Å, I = 106

Atomic structure:
```
data_TbCrPt6
_cell_length_a 4.021
_cell_length_b 4.021
_cell_length_c 8.092
_cell_angle_alpha 90.00
_cell_angle_beta 90.00
_cell_angle_gamma 90.00
_symmetry_space_group_name_H-M 'P 4/m m m'
_symmetry_Int_Tables_number 123
_symmetry_space_group_name_Hall '-P 4 2'
loop_
_atom_site_label
_atom_site_type_symbol
_atom_site_fract_x
_atom_site_fract_y
_atom_site_fract_z
Tb1 Tb 0.000 0.000 0.000
Cr1 Cr 0.000 0.000 0.500
Pt1 Pt 0.000 0.500 0.266
Pt2 Pt 0.500 0.500 0.000
Pt3 Pt 0.500 0.500 0.500
```



(8)
Structure and calculated powder XRD pattern of Cs6Na3Cd (the GGA-PBE geometry in Alexandria; Cu Ka).
No peak broadening, texture or thermal motion is included.

Peak list (10 most intense, 2θ from 10° to 90°, by angle)
2θ = 14.00°, d = 6.325 Å, I = 276
2θ = 21.45°, d = 4.143 Å, I = 1000
2θ = 21.95°, d = 4.049 Å, I = 519
2θ = 22.55°, d = 3.944 Å, I = 217
2θ = 23.36°, d = 3.808 Å, I = 402
2θ = 24.33°, d = 3.658 Å, I = 375
2θ = 24.44°, d = 3.642 Å, I = 359
2θ = 27.05°, d = 3.296 Å, I = 411
2θ = 33.84°, d = 2.649 Å, I = 208
2θ = 42.95°, d = 2.106 Å, I = 250

Atomic structure:
```
data_Cs6Na3Cd
_cell_length_a 12.691
_cell_length_b 8.744
_cell_length_c 18.272
_cell_angle_alpha 90.00
_cell_angle_beta 133.89
_cell_angle_gamma 90.00
_symmetry_space_group_name_H-M 'P 1 21/c 1'
_symmetry_Int_Tables_number 14
_symmetry_space_group_name_Hall '-P 2ybc'
loop_
_atom_site_label
_atom_site_type_symbol
_atom_site_fract_x
_atom_site_fract_y
_atom_site_fract_z
Cs1 Cs 0.086 0.236 0.235
Cs2 Cs 0.223 0.107 0.558
Cs3 Cs 0.393 0.581 0.571
Na1 Na 0.240 0.697 0.729
Na2 Na 0.500 0.000 0.500
Cd1 Cd 0.000 0.000 0.000
```



Question: Number 6 is which compound?
Answer: Al4Ru3